Record 1
Ba3HfNb4O15: calculated powder X-ray diffraction pattern (Cu Ka), based on a GGA-PBE-relaxed structure.
Lines closer than 0.1° are merged.

Structural model:
```
Ba3HfNb4O15
1.0
12.8127 0.0000 0.0000
0.0000 12.8127 0.0000
0.0000 0.0000 4.1126
Ba Hf Nb O
6 2 8 30
direct
0.0000 0.0000 0.0000 Ba
0.1678 0.3322 0.0097 Ba
0.3322 0.8322 0.0097 Ba
0.5000 0.5000 0.0000 Ba
0.6678 0.1678 0.0097 Ba
0.8322 0.6678 0.0097 Ba
0.0000 0.5000 0.4921 Hf
0.5000 0.0000 0.4921 Hf
0.0746 0.7861 0.5202 Nb
0.2139 0.0746 0.5202 Nb
0.2861 0.5746 0.5202 Nb
0.4254 0.2861 0.5202 Nb
0.5746 0.7139 0.5202 Nb
0.7139 0.4254 0.5202 Nb
0.7861 0.9254 0.5202 Nb
0.9254 0.2139 0.5202 Nb
0.0000 0.5000 0.9859 O
0.0105 0.3376 0.4817 O
0.0672 0.1377 0.4737 O
0.0790 0.7947 0.9768 O
0.1377 0.9328 0.4737 O
0.1624 0.4895 0.4817 O
0.2053 0.0790 0.9768 O
0.2170 0.7170 0.4791 O
0.2830 0.2170 0.4791 O
0.2947 0.5790 0.9768 O
0.3376 0.9895 0.4817 O
0.3623 0.4328 0.4737 O
0.4210 0.2947 0.9768 O
0.4328 0.6377 0.4737 O
0.4895 0.8376 0.4817 O
0.5000 0.0000 0.9859 O
0.5105 0.1624 0.4817 O
0.5672 0.3623 0.4737 O
0.5790 0.7053 0.9768 O
0.6377 0.5672 0.4737 O
0.6624 0.0105 0.4817 O
0.7053 0.4210 0.9768 O
0.7170 0.7830 0.4791 O
0.7830 0.2830 0.4791 O
0.7947 0.9210 0.9768 O
0.8376 0.5105 0.4817 O
0.8623 0.0672 0.4737 O
0.9210 0.2053 0.9768 O
0.9328 0.8623 0.4737 O
0.9895 0.6624 0.4817 O
```

Principal peaks in the range 10 to 90 degrees two-theta, in order of rising 2θ:
d 3.554, 2θ = 25.06°, intensity 20; d 3.341, 2θ = 26.68°, intensity 51; d 3.108, 2θ = 28.73°, intensity 46; d 3.020, 2θ = 29.58°, intensity 12; d 2.886, 2θ = 30.98°, intensity 100; d 2.865, 2θ = 31.22°, intensity 41; d 2.057, 2θ = 44.03°, intensity 28; d 1.812, 2θ = 50.36°, intensity 13; d 1.799, 2θ = 50.74°, intensity 15; d 1.715, 2θ = 53.43°, intensity 16; d 1.671, 2θ = 54.96°, intensity 17; d 1.658, 2θ = 55.41°, intensity 22

***

Record 2
Ba3Hf2O7: calculated powder X-ray diffraction pattern (Cu Ka), based on a GGA-PBE-relaxed structure.
Lines closer than 0.1° are merged.

Structural model:
```
Ba3Hf2O7
1.0
-2.1009 2.1009 11.0014
2.1009 -2.1009 11.0014
2.1009 2.1009 -11.0014
Ba Hf O
3 2 7
direct
0.0000 0.0000 0.0000 Ba
0.1858 0.1858 0.0000 Ba
0.8142 0.8142 0.0000 Ba
0.4034 0.4034 0.0000 Hf
0.5966 0.5966 0.0000 Hf
0.0956 0.5956 0.5000 O
0.3085 0.3085 0.0000 O
0.4044 0.9044 0.5000 O
0.5000 0.5000 0.0000 O
0.5956 0.0956 0.5000 O
0.6915 0.6915 0.0000 O
0.9044 0.4044 0.5000 O
```

Principal peaks in the range 10 to 90 degrees two-theta, in order of rising 2θ:
d 3.039, 2θ = 29.39°, intensity 100; d 2.971, 2θ = 30.08°, intensity 56; d 2.200, 2θ = 41.02°, intensity 13; d 2.101, 2θ = 43.06°, intensity 29; d 1.768, 2θ = 51.70°, intensity 18; d 1.728, 2θ = 52.99°, intensity 40; d 1.519, 2θ = 60.98°, intensity 15; d 1.486, 2θ = 62.52°, intensity 9; d 1.335, 2θ = 70.57°, intensity 9; d 1.329, 2θ = 70.93°, intensity 10; d 1.137, 2θ = 85.34°, intensity 9; d 1.127, 2θ = 86.37°, intensity 11

***

Record 3
Ba2HfO4: calculated powder X-ray diffraction pattern (Cu Ka), based on a GGA-PBE-relaxed structure.
Lines closer than 0.1° are merged.

Structural model:
```
Ba2HfO4
1.0
4.1943 0.0000 0.0000
0.0000 4.1943 0.0000
0.0000 0.0000 13.6239
Ba Hf O
4 2 8
direct
0.0000 0.0000 0.1473 Ba
0.0000 0.0000 0.8527 Ba
0.5000 0.5000 0.3527 Ba
0.5000 0.5000 0.6473 Ba
0.0000 0.0000 0.5000 Hf
0.5000 0.5000 0.0000 Hf
0.0000 0.0000 0.3449 O
0.0000 0.0000 0.6551 O
0.0000 0.5000 0.0000 O
0.0000 0.5000 0.5000 O
0.5000 0.0000 0.0000 O
0.5000 0.0000 0.5000 O
0.5000 0.5000 0.1551 O
0.5000 0.5000 0.8449 O
```

Principal peaks in the range 10 to 90 degrees two-theta, in order of rising 2θ:
d 6.812, 2θ = 13.00°, intensity 17; d 3.081, 2θ = 28.98°, intensity 100; d 2.966, 2θ = 30.13°, intensity 58; d 2.285, 2θ = 39.44°, intensity 12; d 2.271, 2θ = 39.69°, intensity 13; d 2.097, 2θ = 43.14°, intensity 28; d 1.803, 2θ = 50.63°, intensity 19; d 1.734, 2θ = 52.80°, intensity 39; d 1.541, 2θ = 60.05°, intensity 15; d 1.326, 2θ = 71.07°, intensity 10; d 1.145, 2θ = 84.62°, intensity 9; d 1.127, 2θ = 86.33°, intensity 10